No. 1
Structure and simulated X-ray powder pattern of PrMgSn2Pd4 (the PBE geometry in Alexandria; Cu Kα (weighted mean of Kα1 and Kα2)).
Lines closer than 0.1° are merged.

Top 12 peaks for 15° ≤ 2θ ≤ 90°, by intensity:
| Position (°2θ) | I/Imax |
| --- | --- |
| 39.16 | 100 |
| 35.96 | 84 |
| 54.21 | 26 |
| 68.89 | 25 |
| 28.37 | 24 |
| 33.23 | 19 |
| 70.96 | 17 |
| 45.07 | 11 |
| 84.16 | 11 |
| 68.38 | 9 |
| 20.79 | 7 |
| 44.74 | 6 |

Atomic structure:
Cell lengths 8.9483, 8.9483, 8.9483 Å; angles 29.80, 29.80, 29.80 degrees
Positions (direct):
Pr1 0.0000 0.0000 0.0000
Mg1 0.5000 0.5000 0.5000
Sn1 0.2438 0.2438 0.2438
Sn2 0.7562 0.7562 0.7562
Pd1 0.1325 0.1325 0.1325
Pd2 0.3979 0.3979 0.3979
Pd3 0.6021 0.6021 0.6021
Pd4 0.8675 0.8675 0.8675

No. 2
Structure and simulated X-ray powder pattern of Pr2MgSn4Pd3 (the PBE geometry in Alexandria; Cu Kα (weighted mean of Kα1 and Kα2)).
Lines closer than 0.1° are merged.

Top 12 peaks for 15° ≤ 2θ ≤ 90°, by intensity:
| Position (°2θ) | I/Imax |
| --- | --- |
| 32.21 | 100 |
| 40.37 | 63 |
| 30.45 | 59 |
| 43.73 | 40 |
| 61.02 | 30 |
| 51.39 | 27 |
| 42.14 | 24 |
| 68.29 | 23 |
| 58.41 | 21 |
| 89.49 | 21 |
| 28.24 | 17 |
| 78.22 | 15 |

Atomic structure:
Cell lengths 4.4689, 4.4689, 11.6790 Å; angles 90.00, 90.00, 90.00 degrees
Positions (direct):
Pr1 0.0000 0.5000 0.2475
Pr2 0.5000 0.0000 0.7525
Mg1 0.0000 0.0000 0.5000
Sn1 0.0000 0.0000 0.0000
Sn2 0.0000 0.5000 0.6443
Sn3 0.5000 0.0000 0.3557
Sn4 0.5000 0.5000 0.0000
Pd1 0.0000 0.5000 0.8689
Pd2 0.5000 0.0000 0.1311
Pd3 0.5000 0.5000 0.5000

No. 3
Structure and simulated X-ray powder pattern of MgPd4Pt3 (the PBE geometry in Alexandria; Cu Kα (weighted mean of Kα1 and Kα2)).
Lines closer than 0.1° are merged.

Top 12 peaks for 15° ≤ 2θ ≤ 90°, by intensity:
| Position (°2θ) | I/Imax |
| --- | --- |
| 39.31 | 100 |
| 39.51 | 99 |
| 45.29 | 67 |
| 46.91 | 30 |
| 79.52 | 26 |
| 65.97 | 22 |
| 67.21 | 20 |
| 79.65 | 13 |
| 79.90 | 13 |
| 81.82 | 12 |
| 25.00 | 12 |
| 82.21 | 12 |

Atomic structure:
Cell lengths 4.8103, 4.8103, 8.0028 Å; angles 114.95, 114.95, 49.25 degrees
Positions (direct):
Mg1 0.0000 0.0000 0.0000
Pd1 0.2470 0.2470 0.3726
Pd2 0.2519 0.2519 0.8748
Pd3 0.7481 0.7481 0.1252
Pd4 0.7530 0.7530 0.6274
Pt1 0.0000 0.0000 0.5000
Pt2 0.4976 0.4976 0.2499
Pt3 0.5024 0.5024 0.7501

No. 4
Structure and simulated X-ray powder pattern of Mg4Pd3Pt (the PBE geometry in Alexandria; Cu Kα (weighted mean of Kα1 and Kα2)).
Lines closer than 0.1° are merged.

Top 12 peaks for 15° ≤ 2θ ≤ 90°, by intensity:
| Position (°2θ) | I/Imax |
| --- | --- |
| 40.13 | 100 |
| 28.08 | 58 |
| 72.91 | 33 |
| 65.70 | 21 |
| 58.04 | 17 |
| 49.69 | 16 |
| 86.64 | 11 |
| 24.25 | 4 |
| 23.21 | 4 |
| 47.44 | 2 |
| 30.65 | 2 |
| 42.06 | 2 |

Atomic structure:
Cell lengths 7.7883, 7.7883, 7.7883 Å; angles 33.53, 33.53, 33.53 degrees
Positions (direct):
Mg1 0.1244 0.1244 0.1244
Mg2 0.3746 0.3746 0.3746
Mg3 0.6254 0.6254 0.6254
Mg4 0.8756 0.8756 0.8756
Pd1 0.2495 0.2495 0.2495
Pd2 0.5000 0.5000 0.5000
Pd3 0.7505 0.7505 0.7505
Pt1 0.0000 0.0000 0.0000

No. 5
Structure and simulated X-ray powder pattern of Mg3PdPt4 (the PBE geometry in Alexandria; Cu Kα (weighted mean of Kα1 and Kα2)).
Lines closer than 0.1° are merged.

Top 12 peaks for 15° ≤ 2θ ≤ 90°, by intensity:
| Position (°2θ) | I/Imax |
| --- | --- |
| 41.45 | 100 |
| 26.97 | 50 |
| 39.42 | 42 |
| 37.60 | 34 |
| 20.94 | 32 |
| 30.87 | 30 |
| 42.63 | 28 |
| 72.87 | 22 |
| 80.55 | 19 |
| 38.89 | 17 |
| 66.94 | 16 |
| 50.89 | 15 |

Atomic structure:
Cell lengths 9.1422, 5.7928, 4.7879 Å; angles 90.00, 90.00, 90.00 degrees
Positions (direct):
Mg1 0.0000 0.0000 0.0000
Mg2 0.2500 0.0000 0.3775
Mg3 0.2500 0.5000 0.3556
Mg4 0.5000 0.0000 0.0000
Mg5 0.7500 0.0000 0.6225
Mg6 0.7500 0.5000 0.6444
Pd1 0.0000 0.5000 0.0000
Pd2 0.5000 0.5000 0.0000
Pt1 0.0000 0.2464 0.5000
Pt2 0.0000 0.7536 0.5000
Pt3 0.2500 0.2547 0.8560
Pt4 0.2500 0.7453 0.8560
Pt5 0.5000 0.2464 0.5000
Pt6 0.5000 0.7536 0.5000
Pt7 0.7500 0.2547 0.1440
Pt8 0.7500 0.7453 0.1440

No. 6
Structure and simulated X-ray powder pattern of Mg2Pd8Pt3 (the PBE geometry in Alexandria; Cu Kα (weighted mean of Kα1 and Kα2)).
Lines closer than 0.1° are merged.

Top 12 peaks for 15° ≤ 2θ ≤ 90°, by intensity:
| Position (°2θ) | I/Imax |
| --- | --- |
| 39.41 | 100 |
| 45.57 | 33 |
| 46.34 | 16 |
| 67.04 | 15 |
| 80.09 | 13 |
| 17.81 | 9 |
| 79.95 | 9 |
| 81.21 | 6 |
| 81.13 | 6 |
| 66.35 | 6 |
| 84.74 | 6 |
| 66.92 | 5 |

Atomic structure:
Cell lengths 4.8215, 6.2936, 7.3781 Å; angles 94.79, 108.29, 105.06 degrees
Positions (direct):
Mg1 0.1531 0.3079 0.2689
Mg2 0.8469 0.6921 0.7311
Pd1 0.0819 0.1582 0.8879
Pd2 0.2310 0.4603 0.6522
Pd3 0.3085 0.6173 0.0403
Pd4 0.4632 0.9225 0.8074
Pd5 0.5368 0.0775 0.1926
Pd6 0.6915 0.3827 0.9597
Pd7 0.7690 0.5397 0.3478
Pd8 0.9181 0.8418 0.1121
Pt1 0.0000 0.0000 0.5000
Pt2 0.3838 0.7723 0.4232
Pt3 0.6162 0.2277 0.5768

No. 7
Structure and simulated X-ray powder pattern of Mg6Pd3Pt (the PBE geometry in Alexandria; Cu Kα (weighted mean of Kα1 and Kα2)).
Lines closer than 0.1° are merged.

Top 12 peaks for 15° ≤ 2θ ≤ 90°, by intensity:
| Position (°2θ) | I/Imax |
| --- | --- |
| 24.61 | 100 |
| 41.60 | 91 |
| 40.48 | 76 |
| 41.37 | 75 |
| 37.17 | 62 |
| 30.69 | 59 |
| 35.06 | 58 |
| 20.46 | 54 |
| 20.84 | 51 |
| 27.37 | 43 |
| 37.39 | 30 |
| 33.49 | 30 |

Atomic structure:
Cell lengths 5.3882, 5.3882, 7.2569 Å; angles 106.64, 106.64, 65.47 degrees
Positions (direct):
Mg1 0.1053 0.6157 0.6895
Mg2 0.3296 0.3296 0.0804
Mg3 0.3843 0.8947 0.3105
Mg4 0.6157 0.1053 0.6895
Mg5 0.6704 0.6704 0.9196
Mg6 0.8947 0.3843 0.3105
Pd1 0.0000 0.0000 0.0000
Pd2 0.1190 0.1190 0.6836
Pd3 0.8810 0.8810 0.3164
Pt1 0.5000 0.5000 0.5000

No. 8
Structure and simulated X-ray powder pattern of Mg3Pd2Pt2 (the PBE geometry in Alexandria; Cu Kα (weighted mean of Kα1 and Kα2)).
Lines closer than 0.1° are merged.

Top 12 peaks for 15° ≤ 2θ ≤ 90°, by intensity:
| Position (°2θ) | I/Imax |
| --- | --- |
| 39.70 | 100 |
| 40.45 | 99 |
| 40.04 | 49 |
| 40.86 | 48 |
| 32.79 | 31 |
| 24.99 | 30 |
| 23.59 | 28 |
| 29.45 | 24 |
| 32.22 | 17 |
| 57.40 | 17 |
| 72.84 | 17 |
| 74.12 | 16 |

Atomic structure:
Cell lengths 4.4167, 4.4592, 6.9860 Å; angles 107.92, 90.09, 119.63 degrees
Positions (direct):
Mg1 0.0000 0.0000 0.0000
Mg2 0.4261 0.8515 0.2814
Mg3 0.5739 0.1485 0.7186
Pd1 0.2860 0.5724 0.8559
Pd2 0.7140 0.4276 0.1441
Pt1 0.1363 0.2723 0.4106
Pt2 0.8637 0.7277 0.5894

No. 9
Structure and simulated X-ray powder pattern of MgPd8Pt4 (the PBE geometry in Alexandria; Cu Kα (weighted mean of Kα1 and Kα2)).
Lines closer than 0.1° are merged.

Top 12 peaks for 15° ≤ 2θ ≤ 90°, by intensity:
| Position (°2θ) | I/Imax |
| --- | --- |
| 41.51 | 100 |
| 25.10 | 100 |
| 41.62 | 99 |
| 75.78 | 50 |
| 49.15 | 38 |
| 60.24 | 33 |
| 76.04 | 16 |
| 81.32 | 12 |
| 49.26 | 12 |
| 66.21 | 10 |
| 66.46 | 6 |
| 66.33 | 5 |

Atomic structure:
Cell lengths 6.1451, 6.1451, 6.1451 Å; angles 90.15, 90.15, 90.15 degrees
Positions (direct):
Mg1 0.0000 0.0000 0.0000
Pd1 0.2552 0.2552 0.2552
Pd2 0.2546 0.7435 0.7435
Pd3 0.2565 0.2565 0.7454
Pd4 0.2565 0.7454 0.2565
Pd5 0.7435 0.2546 0.7435
Pd6 0.7435 0.7435 0.2546
Pd7 0.7454 0.2565 0.2565
Pd8 0.7448 0.7448 0.7448
Pt1 0.0000 0.0000 0.5000
Pt2 0.0000 0.5000 0.0000
Pt3 0.5000 0.0000 0.0000
Pt4 0.5000 0.5000 0.5000

No. 10
Structure and simulated X-ray powder pattern of Mg12Pd5Pt2 (the PBE geometry in Alexandria; Cu Kα (weighted mean of Kα1 and Kα2)).
Lines closer than 0.1° are merged.

Top 12 peaks for 15° ≤ 2θ ≤ 90°, by intensity:
| Position (°2θ) | I/Imax |
| --- | --- |
| 41.55 | 100 |
| 36.88 | 74 |
| 25.14 | 70 |
| 17.62 | 69 |
| 23.69 | 57 |
| 26.20 | 56 |
| 38.89 | 53 |
| 20.70 | 45 |
| 37.80 | 42 |
| 31.05 | 40 |
| 43.36 | 39 |
| 29.31 | 38 |

Atomic structure:
Cell lengths 7.8910, 7.8910, 8.7459 Å; angles 100.20, 100.20, 45.59 degrees
Positions (direct):
Mg1 0.0235 0.0235 0.2852
Mg2 0.0714 0.5616 0.8766
Mg3 0.0933 0.6125 0.4197
Mg4 0.3875 0.9067 0.5803
Mg5 0.4380 0.4380 0.1840
Mg6 0.4384 0.9286 0.1234
Mg7 0.5616 0.0714 0.8766
Mg8 0.5620 0.5620 0.8160
Mg9 0.6125 0.0933 0.4197
Mg10 0.9067 0.3875 0.5803
Mg11 0.9286 0.4384 0.1234
Mg12 0.9765 0.9765 0.7148
Pd1 0.1564 0.1564 0.8577
Pd2 0.2080 0.2080 0.3718
Pd3 0.5000 0.5000 0.5000
Pd4 0.7920 0.7920 0.6282
Pd5 0.8436 0.8436 0.1423
Pt1 0.2182 0.7818 0.0000
Pt2 0.7818 0.2182 0.0000

No. 11
Structure and simulated X-ray powder pattern of MgPd5Pt5 (the PBE geometry in Alexandria; Cu Kα (weighted mean of Kα1 and Kα2)).
Lines closer than 0.1° are merged.

Top 12 peaks for 15° ≤ 2θ ≤ 90°, by intensity:
| Position (°2θ) | I/Imax |
| --- | --- |
| 41.35 | 100 |
| 41.24 | 86 |
| 41.05 | 73 |
| 41.75 | 68 |
| 23.46 | 35 |
| 59.82 | 18 |
| 36.33 | 18 |
| 40.16 | 17 |
| 39.79 | 17 |
| 75.77 | 13 |
| 33.97 | 13 |
| 74.81 | 13 |

Atomic structure:
Cell lengths 5.1060, 5.1660, 6.8688 Å; angles 98.18, 96.98, 95.09 degrees
Positions (direct):
Mg1 0.0000 0.0000 0.0000
Pd1 0.2339 0.1946 0.6947
Pd2 0.3290 0.6003 0.9868
Pd3 0.5216 0.1225 0.0464
Pd4 0.8314 0.1064 0.3964
Pd5 0.8710 0.5632 0.1925
Pt1 0.0552 0.6628 0.5908
Pt2 0.3083 0.9175 0.3368
Pt3 0.4214 0.4368 0.3771
Pt4 0.6017 0.8313 0.6950
Pt5 0.7654 0.3724 0.7879

No. 12
Structure and simulated X-ray powder pattern of MgPdPt (the PBE geometry in Alexandria; Cu Kα (weighted mean of Kα1 and Kα2)).
Lines closer than 0.1° are merged.

Top 12 peaks for 15° ≤ 2θ ≤ 90°, by intensity:
| Position (°2θ) | I/Imax |
| --- | --- |
| 39.29 | 100 |
| 15.36 | 41 |
| 32.29 | 36 |
| 44.88 | 34 |
| 78.99 | 26 |
| 67.23 | 20 |
| 65.36 | 18 |
| 47.27 | 15 |
| 31.00 | 12 |
| 82.47 | 11 |
| 84.51 | 11 |
| 47.72 | 10 |

Atomic structure:
Cell lengths 6.1119, 6.1119, 6.1119 Å; angles 152.98, 152.98, 38.59 degrees
Positions (direct):
Mg1 0.0000 0.0000 0.0000
Pd1 0.3365 0.3365 0.0000
Pt1 0.6614 0.6614 0.0000

No. 13
Structure and simulated X-ray powder pattern of Mg6Pd5Pt (the PBE geometry in Alexandria; Cu Kα (weighted mean of Kα1 and Kα2)).
Lines closer than 0.1° are merged.

Top 12 peaks for 15° ≤ 2θ ≤ 90°, by intensity:
| Position (°2θ) | I/Imax |
| --- | --- |
| 39.70 | 100 |
| 39.87 | 99 |
| 40.86 | 92 |
| 27.10 | 59 |
| 28.46 | 52 |
| 28.69 | 51 |
| 49.72 | 45 |
| 55.88 | 18 |
| 71.47 | 17 |
| 71.53 | 17 |
| 73.45 | 16 |
| 73.57 | 16 |

Atomic structure:
Cell lengths 4.4219, 6.5817, 6.9622 Å; angles 90.00, 108.07, 90.00 degrees
Positions (direct):
Mg1 0.0000 0.2481 0.0000
Mg2 0.0000 0.7519 0.0000
Mg3 0.3342 0.2488 0.6682
Mg4 0.3342 0.7512 0.6682
Mg5 0.6658 0.2488 0.3318
Mg6 0.6658 0.7512 0.3318
Pd1 0.1671 0.0000 0.3341
Pd2 0.1666 0.5000 0.3344
Pd3 0.5000 0.5000 0.0000
Pd4 0.8329 0.0000 0.6659
Pd5 0.8334 0.5000 0.6656
Pt1 0.5000 0.0000 0.0000

No. 14
Structure and simulated X-ray powder pattern of MgPd4Pt (the PBE geometry in Alexandria; Cu Kα (weighted mean of Kα1 and Kα2)).
Lines closer than 0.1° are merged.

Top 12 peaks for 15° ≤ 2θ ≤ 90°, by intensity:
| Position (°2θ) | I/Imax |
| --- | --- |
| 39.45 | 100 |
| 45.47 | 17 |
| 45.95 | 16 |
| 46.20 | 16 |
| 79.93 | 12 |
| 23.76 | 12 |
| 80.64 | 12 |
| 81.00 | 12 |
| 84.91 | 11 |
| 66.64 | 10 |
| 66.83 | 10 |
| 67.21 | 10 |

Atomic structure:
Cell lengths 6.2168, 6.2168, 3.9897 Å; angles 90.00, 90.00, 142.95 degrees
Positions (direct):
Mg1 0.0000 0.0000 0.0000
Pd1 0.1666 0.8334 0.5000
Pd2 0.3355 0.6645 0.0000
Pd3 0.6645 0.3355 0.0000
Pd4 0.8334 0.1666 0.5000
Pt1 0.5000 0.5000 0.5000